(1)
Calculated XRD peak list of K3Sb3Pb2 for Cu Kα (weighted mean of Kα1 and Kα2), from DFT lattice parameters and positions (PBE).

Largest 12 diffraction maxima, low angle first, 2θ = 10–80°:
2theta	I (rel.)
10.59	44
15.01	90
15.92	51
20.35	100
27.62	85
29.79	66
31.21	83
32.12	37
34.36	57
38.94	37
39.16	61
41.27	32

Cell and atoms:
Unit cell a=10.911 b=16.715 c=7.020 alpha=90.00 beta=90.00 gamma=90.00
Space group Pnma (No. 62)
Asymmetric unit:
K: 0.039 0.113 0.138 x8
K: 0.160 0.250 0.575 x4
Sb: 0.132 0.046 0.642 x8
Sb: 0.186 0.750 0.603 x4
Pb: 0.144 0.597 0.375 x8

(2)
Calculated XRD peak list of K5Sb2Pb for Cu Kα (weighted mean of Kα1 and Kα2), from DFT lattice parameters and positions (PBE).

Largest 12 diffraction maxima, low angle first, 2θ = 10–80°:
2theta	I (rel.)
17.24	83
17.90	48
25.00	16
28.10	42
29.70	100
32.81	51
34.54	16
35.29	17
39.20	30
44.83	21
52.71	19
54.70	23

Cell and atoms:
Unit cell a=6.0162 b=6.0162 c=32.0524 alpha=90.00 beta=90.00 gamma=120.00
Space group R-3m (No. 166, hexagonal axes)
Asymmetric unit:
K: 0.0000 0.0000 0.0000 x3
K: 0.0000 0.0000 0.1216 x6
K: 0.0000 0.0000 0.2807 x6
Sb: 0.0000 0.0000 0.4010 x6
Pb: 0.0000 0.0000 0.5000 x3

(3)
Calculated XRD peak list of KScPb4 for Cu Kα (weighted mean of Kα1 and Kα2), from DFT lattice parameters and positions (PBE).

Largest 12 diffraction maxima, low angle first, 2θ = 10–80°:
2theta	I (rel.)
16.64	85
32.17	100
33.64	90
39.04	37
42.71	26
51.45	36
56.40	38
59.23	21
66.43	12
67.30	38
73.25	12
79.83	23

Cell and atoms:
Unit cell a=9.229 b=9.229 c=9.229 alpha=90.00 beta=90.00 gamma=90.00
Space group F-43m (No. 216)
Asymmetric unit:
K: 0.000 0.000 0.000 x4
Sc: 0.250 0.250 0.250 x4
Pb: 0.123 0.123 0.623 x16

(4)
Calculated XRD peak list of K3PbSe2 for Cu Kα (weighted mean of Kα1 and Kα2), from DFT lattice parameters and positions (PBE).

Largest 12 diffraction maxima, low angle first, 2θ = 10–80°:
2theta	I (rel.)
11.35	51
12.59	89
19.86	77
20.47	34
26.18	42
26.76	71
31.37	81
32.32	100
34.84	50
40.35	28
42.31	36
59.14	34

Cell and atoms:
Unit cell a=7.873 b=15.597 c=7.566 alpha=90.00 beta=90.00 gamma=90.00
Space group Ibam (No. 72)
Asymmetric unit:
K: 0.000 0.000 0.250 x4
K: 0.000 0.264 0.250 x8
Pb: 0.000 0.500 0.000 x4
Se: 0.224 0.133 0.000 x8

(5)
Calculated XRD peak list of K3TaPb3Se8 for Cu Kα (weighted mean of Kα1 and Kα2), from DFT lattice parameters and positions (PBE).

Largest 12 diffraction maxima, low angle first, 2θ = 10–80°:
2theta	I (rel.)
11.16	100
24.74	24
28.76	100
36.16	30
39.12	34
43.04	33
44.59	17
48.98	11
49.06	9
52.63	11
59.56	10
70.18	9

Cell and atoms:
Unit cell a=8.397 b=8.410 c=9.287 alpha=90.01 beta=116.83 gamma=119.92
Space group P-1 (No. 2)
Asymmetric unit:
K: 0.000 0.000 0.000 x1
K: 0.000 0.500 0.000 x1
K: 0.500 0.000 0.000 x1
Ta: 0.500 0.000 0.500 x1
Pb: 0.000 0.000 0.500 x1
Pb: 0.000 0.500 0.500 x1
Pb: 0.500 0.500 0.500 x1
Se: 0.018 0.259 0.279 x2
Se: 0.080 0.790 0.309 x2
Se: 0.481 0.210 0.691 x2
Se: 0.481 0.771 0.691 x2

(6)
Calculated XRD peak list of KTc2PbSe for Cu Kα (weighted mean of Kα1 and Kα2), from DFT lattice parameters and positions (PBE).

Largest 12 diffraction maxima, low angle first, 2θ = 10–80°:
2theta	I (rel.)
14.88	90
16.74	100
22.47	47
30.02	60
33.84	87
34.57	35
37.15	40
37.98	28
45.86	74
48.61	31
49.15	27
58.20	36

Cell and atoms:
Unit cell a=5.298 b=5.298 c=5.953 alpha=90.00 beta=90.00 gamma=90.00
Space group P4/mmm (No. 123)
Asymmetric unit:
K: 0.000 0.000 0.000 x1
Tc: 0.000 0.500 0.500 x2
Pb: 0.500 0.500 0.500 x1
Se: 0.500 0.500 0.000 x1

(7)
Calculated XRD peak list of K2ThPbSe4 for Cu Kα (weighted mean of Kα1 and Kα2), from DFT lattice parameters and positions (PBE).

Largest 12 diffraction maxima, low angle first, 2θ = 10–80°:
2theta	I (rel.)
11.57	97
23.55	34
27.97	100
28.09	48
36.00	20
39.01	18
39.37	35
40.74	36
40.91	19
42.63	19
49.92	21
50.36	19

Cell and atoms:
Unit cell a=7.683 b=4.412 c=8.039 alpha=90.00 beta=108.00 gamma=90.00
Space group P2/m (No. 10)
Asymmetric unit:
K: 0.000 0.000 0.000 x1
K: 0.500 0.500 0.000 x1
Th: 0.000 0.500 0.500 x1
Pb: 0.500 0.000 0.500 x1
Se: 0.222 0.000 0.709 x2
Se: 0.242 0.500 0.287 x2

(8)
Calculated XRD peak list of K2Tl2PbSe4 for Cu Kα (weighted mean of Kα1 and Kα2), from DFT lattice parameters and positions (PBE).

Largest 12 diffraction maxima, low angle first, 2θ = 10–80°:
2theta	I (rel.)
12.12	100
24.32	14
25.16	35
28.89	11
29.15	34
31.33	33
33.41	12
34.38	16
34.83	27
37.01	17
37.76	24
49.75	11

Cell and atoms:
Unit cell a=16.183 b=5.152 c=7.551 alpha=90.00 beta=104.75 gamma=90.00
Space group C2/m (No. 12)
Asymmetric unit:
K: 0.129 0.000 0.073 x4
Tl: 0.165 0.500 0.555 x4
Pb: 0.000 0.000 0.500 x2
Se: 0.025 0.500 0.253 x4
Se: 0.200 0.000 0.691 x4

(9)
Calculated XRD peak list of K3SnPb4 for Cu Kα (weighted mean of Kα1 and Kα2), from DFT lattice parameters and positions (PBE).

Largest 12 diffraction maxima, low angle first, 2θ = 10–80°:
2theta	I (rel.)
12.90	52
15.78	74
16.62	100
25.43	37
28.49	35
30.04	81
31.09	65
33.58	35
37.08	36
37.80	83
38.53	34
39.38	37

Cell and atoms:
Unit cell a=6.603 b=8.960 c=10.676 alpha=90.00 beta=90.00 gamma=90.00
Space group Imm2 (No. 44)
Asymmetric unit:
K: 0.000 0.000 0.000 x2
K: 0.000 0.216 0.627 x4
Sn: 0.000 0.500 0.070 x2
Pb: 0.000 0.316 0.310 x4
Pb: 0.246 0.000 0.331 x4

(10)
Calculated XRD peak list of K2Sn7Pb for Cu Kα (weighted mean of Kα1 and Kα2), from DFT lattice parameters and positions (PBE).

Largest 12 diffraction maxima, low angle first, 2θ = 10–80°:
2theta	I (rel.)
15.38	59
17.99	44
27.83	91
28.42	46
32.83	100
36.44	30
39.03	90
43.96	28
47.10	36
53.29	20
55.60	27
62.77	47

Cell and atoms:
Unit cell a=5.457 b=5.457 c=11.520 alpha=90.00 beta=90.00 gamma=90.00
Space group P-4m2 (No. 115)
Asymmetric unit:
K: 0.000 0.500 0.248 x2
Sn: 0.000 0.000 0.000 x1
Sn: 0.000 0.500 0.626 x2
Sn: 0.000 0.500 0.885 x2
Sn: 0.500 0.500 0.000 x1
Sn: 0.500 0.500 0.500 x1
Pb: 0.000 0.000 0.500 x1

(11)
Calculated XRD peak list of K2SnPb7 for Cu Kα (weighted mean of Kα1 and Kα2), from DFT lattice parameters and positions (PBE).

Largest 12 diffraction maxima, low angle first, 2θ = 10–80°:
2theta	I (rel.)
12.37	37
18.47	70
25.57	30
27.71	83
35.20	66
35.34	100
35.98	33
40.04	22
50.64	24
51.22	25
58.70	21
63.26	39

Cell and atoms:
Unit cell a=5.099 b=5.099 c=14.311 alpha=90.00 beta=90.00 gamma=90.00
Space group P-4m2 (No. 115)
Asymmetric unit:
K: 0.000 0.500 0.246 x2
Sn: 0.500 0.500 0.000 x1
Pb: 0.000 0.000 0.000 x1
Pb: 0.000 0.000 0.500 x1
Pb: 0.000 0.500 0.641 x2
Pb: 0.000 0.500 0.864 x2
Pb: 0.500 0.500 0.500 x1

(12)
Calculated XRD peak list of K2Sn3Pb5 for Cu Kα (weighted mean of Kα1 and Kα2), from DFT lattice parameters and positions (PBE).

Largest 12 diffraction maxima, low angle first, 2θ = 10–80°:
2theta	I (rel.)
12.73	47
18.47	53
25.93	22
27.79	100
35.06	68
35.81	93
36.78	25
50.42	25
51.72	19
53.33	19
58.54	25
63.38	37

Cell and atoms:
Unit cell a=5.119 b=5.119 c=13.904 alpha=90.00 beta=90.00 gamma=90.00
Space group P-4m2 (No. 115)
Asymmetric unit:
K: 0.000 0.500 0.241 x2
Sn: 0.000 0.000 0.000 x1
Sn: 0.000 0.500 0.871 x2
Pb: 0.000 0.000 0.500 x1
Pb: 0.000 0.500 0.646 x2
Pb: 0.500 0.500 0.000 x1
Pb: 0.500 0.500 0.500 x1

(13)
Calculated XRD peak list of K5Sn2Pb4 for Cu Kα (weighted mean of Kα1 and Kα2), from DFT lattice parameters and positions (PBE).

Largest 12 diffraction maxima, low angle first, 2θ = 10–80°:
2theta	I (rel.)
12.71	93
14.54	74
15.24	32
22.18	27
29.38	43
29.85	100
30.32	91
31.30	29
35.89	35
38.79	21
41.76	21
47.04	24

Cell and atoms:
Unit cell a=24.876 b=5.004 c=7.533 alpha=90.00 beta=101.65 gamma=90.00
Space group C2/m (No. 12)
Asymmetric unit:
K: 0.000 0.000 0.000 x2
K: 0.120 0.500 0.948 x4
K: 0.182 0.500 0.517 x4
Sn: 0.061 0.000 0.598 x4
Pb: 0.027 0.500 0.334 x4
Pb: 0.230 0.000 0.883 x4